[1]
Structure and computed X-ray powder pattern of AgIrSe (the GGA-PBE geometry in Alexandria; Cu Kα (λ = 1.5418 Å)).

Top 12 peaks for 5° ≤ 2θ ≤ 70°, sorted by position:
(1 1 0), 2θ 24.26, I = 48
(1 1 -1), 2θ 27.86, I = 46
(2 0 1), 2θ 28.30, I = 32
(1 1 1), 2θ 31.61, I = 60
(4 0 -1), 2θ 31.99, I = 54
(3 1 0), 2θ 34.40, I = 31
(1 1 -2), 2θ 39.74, I = 41
(3 1 -2), 2θ 41.64, I = 100
(3 1 1), 2θ 42.89, I = 52
(2 0 2), 2θ 44.23, I = 32
(0 2 0), 2θ 46.38, I = 68
(5 1 0), 2θ 49.29, I = 40

Structural model:
```
data_AgIrSe
_cell_length_a 11.3015
_cell_length_b 3.9163
_cell_length_c 5.6137
_cell_angle_alpha 90.00
_cell_angle_beta 111.90
_cell_angle_gamma 90.00
_space_group_name_H-M_alt 'C 1 m 1'
_space_group_IT_number 8
_space_group_name_Hall 'C -2y'
loop_
_atom_site_label
_atom_site_type_symbol
_atom_site_fract_x
_atom_site_fract_y
_atom_site_fract_z
_atom_site_occupancy
Ag1 Ag 0.0000 0.0000 0.0000 1
Ag2 Ag 0.0967 0.5000 0.3672 1
Ir1 Ir 0.1767 0.0000 0.7449 1
Ir2 Ir 0.4349 0.5000 0.4547 1
Se1 Se 0.2366 0.5000 0.0307 1
Se2 Se 0.3553 0.0000 0.6038 1
```



[2]
Structure and computed X-ray powder pattern of AgIrSe (the GGA-PBE geometry in Alexandria; Cu Kα (λ = 1.5418 Å)).

Top 12 peaks for 5° ≤ 2θ ≤ 70°, sorted by position:
(0 0 3), 2θ 14.55, I = 53
(0 0 6), 2θ 29.34, I = 9
(0 1 2), 2θ 31.65, I = 100
(1 0 4), 2θ 36.05, I = 19
(0 1 5), 2θ 39.07, I = 57
(0 0 9), 2θ 44.64, I = 9
(1 0 7), 2θ 46.30, I = 45
(1 1 0), 2θ 53.39, I = 36
(1 1 3), 2θ 55.64, I = 11
(2 0 2), 2θ 63.41, I = 13
(0 1 11), 2θ 64.25, I = 7
(2 0 5), 2θ 68.11, I = 11

Structural model:
```
data_AgIrSe
_cell_length_a 3.4323
_cell_length_b 3.4323
_cell_length_c 18.2675
_cell_angle_alpha 90.00
_cell_angle_beta 90.00
_cell_angle_gamma 120.00
_space_group_name_H-M_alt 'R 3 m'
_space_group_IT_number 160
_space_group_name_Hall 'R 3 -2"'
loop_
_atom_site_label
_atom_site_type_symbol
_atom_site_fract_x
_atom_site_fract_y
_atom_site_fract_z
_atom_site_occupancy
Ag1 Ag 0.0000 0.0000 0.0000 1
Ir1 Ir 0.0000 0.0000 0.4435 1
Se1 Se 0.0000 0.0000 0.8487 1
```



[3]
Structure and computed X-ray powder pattern of AgIrSe (the GGA-PBE geometry in Alexandria; Cu Kα (λ = 1.5418 Å)).

Top 12 peaks for 5° ≤ 2θ ≤ 70°, sorted by position:
(0 1 1), 2θ 17.43, I = 56
(1 1 1), 2θ 28.53, I = 59
(0 0 2), 2θ 29.48, I = 12
(0 4 0), 2θ 38.47, I = 30
(1 3 1), 2θ 39.64, I = 68
(1 2 2), 2θ 42.20, I = 100
(2 0 0), 2θ 45.73, I = 28
(0 1 3), 2θ 45.96, I = 19
(0 4 2), 2θ 49.26, I = 14
(2 4 0), 2θ 61.23, I = 20
(2 1 3), 2θ 66.84, I = 12
(1 2 4), 2θ 69.38, I = 15

Structural model:
```
data_AgIrSe
_cell_length_a 3.9683
_cell_length_b 9.3594
_cell_length_c 6.0607
_cell_angle_alpha 90.00
_cell_angle_beta 90.00
_cell_angle_gamma 90.00
_space_group_name_H-M_alt 'A m a 2'
_space_group_IT_number 40
_space_group_name_Hall 'A 2 -2a'
loop_
_atom_site_label
_atom_site_type_symbol
_atom_site_fract_x
_atom_site_fract_y
_atom_site_fract_z
_atom_site_occupancy
Ag1 Ag 0.2500 0.1044 0.0000 1
Ir1 Ir 0.2500 0.3924 0.8389 1
Se1 Se 0.2500 0.1666 0.5668 1
```



[4]
Structure and computed X-ray powder pattern of SmAgIr (the GGA-PBE geometry in Alexandria; Cu Kα (λ = 1.5418 Å)).

Top 12 peaks for 5° ≤ 2θ ≤ 70°, sorted by position:
(0 0 3), 2θ 8.86, I = 45
(1 0 1), 2θ 24.97, I = 54
(0 1 2), 2θ 25.50, I = 29
(1 0 4), 2θ 27.54, I = 23
(0 1 8), 2θ 34.61, I = 100
(0 0 12), 2θ 35.98, I = 18
(1 0 10), 2θ 39.16, I = 27
(0 1 11), 2θ 41.62, I = 24
(1 1 0), 2θ 43.65, I = 90
(0 1 14), 2θ 49.60, I = 15
(2 0 8), 2θ 56.86, I = 24
(1 1 12), 2θ 57.81, I = 28

Structural model:
```
data_SmAgIr
_cell_length_a 4.1475
_cell_length_b 4.1475
_cell_length_c 29.9507
_cell_angle_alpha 90.00
_cell_angle_beta 90.00
_cell_angle_gamma 120.00
_space_group_name_H-M_alt 'R -3 m'
_space_group_IT_number 166
_space_group_name_Hall '-R 3 2"'
loop_
_atom_site_label
_atom_site_type_symbol
_atom_site_fract_x
_atom_site_fract_y
_atom_site_fract_z
_atom_site_occupancy
Sm1 Sm 0.0000 0.0000 0.0854 1
Ag1 Ag 0.0000 0.0000 0.3129 1
Ir1 Ir 0.0000 0.0000 0.1787 1
```



[5]
Structure and computed X-ray powder pattern of Sm8AgIr5 (the GGA-PBE geometry in Alexandria; Cu Kα (λ = 1.5418 Å)).

Top 12 peaks for 5° ≤ 2θ ≤ 70°, sorted by position:
(3 1 0), 2θ 31.88, I = 100
(1 0 3), 2θ 32.18, I = 45
(3 2 1), 2θ 37.98, I = 53
(2 1 3), 2θ 38.18, I = 26
(4 0 2), 2θ 45.79, I = 9
(3 2 3), 2θ 48.28, I = 13
(2 4 2), 2θ 50.43, I = 11
(3 4 1), 2θ 52.56, I = 14
(1 4 3), 2θ 52.75, I = 9
(1 3 4), 2θ 52.92, I = 14
(6 1 1), 2θ 64.75, I = 19
(6 0 2), 2θ 66.65, I = 10

Structural model:
```
data_Sm8AgIr5
_cell_length_a 8.8815
_cell_length_b 8.8815
_cell_length_c 8.7866
_cell_angle_alpha 90.00
_cell_angle_beta 90.00
_cell_angle_gamma 90.00
_space_group_name_H-M_alt 'I -4'
_space_group_IT_number 82
_space_group_name_Hall 'I -4'
loop_
_atom_site_label
_atom_site_type_symbol
_atom_site_fract_x
_atom_site_fract_y
_atom_site_fract_z
_atom_site_occupancy
Sm1 Sm 0.0616 0.1926 0.1789 1
Sm2 Sm 0.0669 0.3233 0.5648 1
Ag1 Ag 0.0000 0.0000 0.5000 1
Ir1 Ir 0.0000 0.5000 0.2500 1
Ir2 Ir 0.1320 0.2536 0.8721 1
```



[6]
Structure and computed X-ray powder pattern of TaAgIr (the GGA-PBE geometry in Alexandria; Cu Kα (λ = 1.5418 Å)).

Top 9 peaks for 5° ≤ 2θ ≤ 70°, sorted by position:
(1 0 0), 2θ 22.83, I = 9
(0 0 1), 2θ 31.33, I = 7
(1 0 1), 2θ 39.11, I = 100
(1 1 0), 2θ 40.09, I = 100
(2 0 0), 2θ 46.63, I = 2
(1 1 1), 2θ 51.74, I = 11
(0 2 1), 2θ 57.26, I = 33
(2 1 0), 2θ 63.15, I = 1
(0 0 2), 2θ 65.36, I = 1

Structural model:
```
data_TaAgIr
_cell_length_a 4.4979
_cell_length_b 4.4979
_cell_length_c 2.8556
_cell_angle_alpha 90.00
_cell_angle_beta 90.00
_cell_angle_gamma 120.00
_space_group_name_H-M_alt 'P 3 m 1'
_space_group_IT_number 156
_space_group_name_Hall 'P 3 -2"'
loop_
_atom_site_label
_atom_site_type_symbol
_atom_site_fract_x
_atom_site_fract_y
_atom_site_fract_z
_atom_site_occupancy
Ta1 Ta 0.0000 0.0000 0.0000 1
Ag1 Ag 0.6667 0.3333 0.3859 1
Ir1 Ir 0.3333 0.6667 0.7659 1
```